No. 1
Diffraction record for Cu6OF11. The powder diffractogram is simulated, not measured: it uses a structure optimized by DFT (GGA-PBE) and Cu Ka.
Intensities are scaled so that the largest is 100.

Peak list (8 most intense, 2θ = 10–90°, most intense first)
(hkl)  d (Å)  2θ (°)  I (rel.)
1 -1 0  3.299  27.03  100
1 1 2  3.218  27.72  95
1 2 0  2.853  31.35  58
0 1 -2  2.679  33.44  38
2 1 0  2.664  33.64  35
1 0 -2  2.537  35.38  23
2 2 -2  1.644  55.92  23
0 3 0  1.862  48.93  22

Structural model:
```
data_Cu6OF11
_chemical_formula_sum 'Cu6 O1 F11'
_space_group_name_H-M_alt 'P 1'
_space_group_IT_number 1
_cell_length_a 5.633
_cell_length_b 6.051
_cell_length_c 7.009
_cell_angle_alpha 76.19
_cell_angle_beta 73.21
_cell_angle_gamma 69.00
loop_
_space_group_symop_operation_xyz
'x,y,z'
loop_
_atom_site_label
_atom_site_fract_x
_atom_site_fract_y
_atom_site_fract_z
Cu1 0.000 0.000 0.000
Cu2 0.002 0.004 0.503
Cu3 0.335 0.337 0.156
Cu4 0.339 0.339 0.677
Cu5 0.649 0.650 0.834
Cu6 0.667 0.672 0.334
O1 0.426 0.427 0.877
F1 0.024 0.619 0.179
F2 0.088 0.092 0.211
F3 0.254 0.258 0.456
F4 0.309 0.723 0.489
F5 0.357 0.951 0.846
F6 0.578 0.580 0.128
F7 0.643 0.052 0.156
F8 0.693 0.283 0.518
F9 0.756 0.756 0.545
F10 0.908 0.911 0.792
F11 0.980 0.387 0.821
```


No. 2
Diffraction record for Cu3OF5. The powder diffractogram is simulated, not measured: it uses a structure optimized by DFT (GGA-PBE) and Cu Ka.
Intensities are scaled so that the largest is 100.

Peak list (8 most intense, 2θ = 10–90°, most intense first)
(hkl)  d (Å)  2θ (°)  I (rel.)
1 1 2  3.391  26.28  100
1 -1 0  3.172  28.13  83
0 1 -2  2.742  32.66  47
1 0 -2  2.675  33.50  37
1 2 0  2.576  34.83  27
2 3 2  1.709  53.62  26
2 1 0  2.515  35.70  22
2 2 4  1.696  54.09  21

Structural model:
```
data_Cu3OF5
_chemical_formula_sum 'Cu6 O2 F10'
_space_group_name_H-M_alt 'P -1'
_space_group_IT_number 2
_cell_length_a 5.393
_cell_length_b 5.524
_cell_length_c 7.804
_cell_angle_alpha 74.43
_cell_angle_beta 73.02
_cell_angle_gamma 71.11
loop_
_space_group_symop_operation_xyz
'x,y,z'
'-x,-y,-z'
loop_
_atom_site_label
_atom_site_fract_x
_atom_site_fract_y
_atom_site_fract_z
Cu1 0.000 0.000 0.000
Cu2 0.000 0.000 0.500
Cu3 0.302 0.377 0.163
Cu4 0.316 0.324 0.679
O1 0.014 0.672 0.159
F1 0.091 0.145 0.193
F2 0.202 0.234 0.494
F3 0.324 0.718 0.479
F4 0.394 0.919 0.845
F5 0.452 0.432 0.846
```


No. 3
Diffraction record for Cu3O2F2. The powder diffractogram is simulated, not measured: it uses a structure optimized by DFT (GGA-PBE) and Cu Ka.
Intensities are scaled so that the largest is 100.

Peak list (8 most intense, 2θ = 10–90°, most intense first)
(hkl)  d (Å)  2θ (°)  I (rel.)
2 2 1  2.554  35.14  100
1 2 -3  2.631  34.07  77
1 0 -4  2.592  34.61  54
0 1 2  4.237  20.97  51
3 0 -2  2.613  34.32  47
2 1 -1  3.597  24.75  44
2 3 0  2.227  40.51  39
2 0 -4  2.440  36.84  36

Structural model:
```
data_Cu3O2F2
_chemical_formula_sum 'Cu24 O16 F16'
_space_group_name_H-M_alt 'P 1 21/c 1'
_space_group_IT_number 14
_cell_length_a 8.039
_cell_length_b 8.204
_cell_length_c 10.371
_cell_angle_alpha 90.00
_cell_angle_beta 107.40
_cell_angle_gamma 90.00
loop_
_space_group_symop_operation_xyz
'x,y,z'
'-x,-y,-z'
'-x,y+1/2,-z+1/2'
'x,-y+1/2,z+1/2'
loop_
_atom_site_label
_atom_site_fract_x
_atom_site_fract_y
_atom_site_fract_z
Cu1 0.050 0.072 0.268
Cu2 0.094 0.153 0.993
Cu3 0.192 0.013 0.570
Cu4 0.267 0.680 0.666
Cu5 0.395 0.581 0.381
Cu6 0.425 0.209 0.356
O1 0.004 0.126 0.433
O2 0.098 0.520 0.616
O3 0.377 0.614 0.190
O4 0.438 0.599 0.575
F1 0.166 0.695 0.335
F2 0.205 0.165 0.821
F3 0.302 0.007 0.366
F4 0.311 0.229 0.595
```


No. 4
Diffraction record for Cu4OF6. The powder diffractogram is simulated, not measured: it uses a structure optimized by DFT (GGA-PBE) and Cu Ka.
Intensities are scaled so that the largest is 100.

Peak list (8 most intense, 2θ = 10–90°, most intense first)
(hkl)  d (Å)  2θ (°)  I (rel.)
1 0 -2  2.968  30.11  100
1 -2 0  2.955  30.24  94
0 0 1  6.465  13.70  80
2 0 0  2.724  32.88  74
0 0 2  3.232  27.60  68
1 2 0  2.632  34.07  54
1 2 -2  2.710  33.06  52
1 0 -1  4.476  19.83  51

Structural model:
```
data_Cu4OF6
_chemical_formula_sum 'Cu8 O2 F12'
_space_group_name_H-M_alt 'P 1'
_space_group_IT_number 1
_cell_length_a 5.517
_cell_length_b 7.301
_cell_length_c 7.315
_cell_angle_alpha 116.76
_cell_angle_beta 95.13
_cell_angle_gamma 94.43
loop_
_space_group_symop_operation_xyz
'x,y,z'
loop_
_atom_site_label
_atom_site_fract_x
_atom_site_fract_y
_atom_site_fract_z
Cu1 0.000 0.000 0.000
Cu2 0.016 0.532 0.085
Cu3 0.040 0.504 0.456
Cu4 0.075 0.981 0.440
Cu5 0.496 0.675 0.316
Cu6 0.518 0.775 0.832
Cu7 0.540 0.152 0.830
Cu8 0.572 0.120 0.296
O1 0.162 0.706 0.364
O2 0.664 0.048 0.022
F1 0.161 0.275 0.164
F2 0.238 0.970 0.784
F3 0.278 0.928 0.151
F4 0.337 0.530 0.621
F5 0.370 0.526 0.020
F6 0.409 0.144 0.552
F7 0.653 0.840 0.593
F8 0.733 0.464 0.286
F9 0.776 0.834 0.250
F10 0.843 0.305 0.848
F11 0.873 0.705 0.855
F12 0.907 0.235 0.460
```


No. 5
Diffraction record for Cu3OF5. The powder diffractogram is simulated, not measured: it uses a structure optimized by DFT (GGA-PBE) and Cu Ka.
Intensities are scaled so that the largest is 100.

Peak list (8 most intense, 2θ = 10–90°, most intense first)
(hkl)  d (Å)  2θ (°)  I (rel.)
1 -1 0  3.367  26.47  100
1 1 2  3.172  28.13  88
1 2 0  2.736  32.73  47
0 1 -2  2.646  33.87  38
2 1 0  2.586  34.69  28
1 0 -2  2.516  35.69  23
2 -2 0  1.684  54.50  21
0 3 0  1.844  49.42  20

Structural model:
```
data_Cu3OF5
_chemical_formula_sum 'Cu6 O2 F10'
_space_group_name_H-M_alt 'P 1'
_space_group_IT_number 1
_cell_length_a 5.534
_cell_length_b 5.879
_cell_length_c 6.978
_cell_angle_alpha 76.31
_cell_angle_beta 73.19
_cell_angle_gamma 72.55
loop_
_space_group_symop_operation_xyz
'x,y,z'
loop_
_atom_site_label
_atom_site_fract_x
_atom_site_fract_y
_atom_site_fract_z
Cu1 0.000 0.000 0.000
Cu2 0.003 0.999 0.522
Cu3 0.318 0.315 0.666
Cu4 0.339 0.335 0.186
Cu5 0.646 0.643 0.344
Cu6 0.659 0.662 0.842
O1 0.095 0.097 0.719
O2 0.427 0.420 0.385
F1 0.016 0.612 0.690
F2 0.248 0.249 0.973
F3 0.300 0.722 0.996
F4 0.354 0.943 0.364
F5 0.559 0.557 0.644
F6 0.647 0.043 0.668
F7 0.694 0.279 0.026
F8 0.751 0.753 0.053
F9 0.906 0.910 0.303
F10 0.980 0.388 0.329
```


No. 6
Diffraction record for Cu3OF5. The powder diffractogram is simulated, not measured: it uses a structure optimized by DFT (GGA-PBE) and Cu Ka.
Intensities are scaled so that the largest is 100.

Peak list (8 most intense, 2θ = 10–90°, most intense first)
(hkl)  d (Å)  2θ (°)  I (rel.)
1 1 1  3.262  27.34  100
1 1 -2  2.646  33.88  35
2 0 -1  2.763  32.41  26
3 1 0  1.804  50.58  19
2 2 2  1.631  56.42  18
0 2 3  1.708  53.66  17
1 1 4  1.680  54.64  15
2 2 -1  1.770  51.63  14

Structural model:
```
data_Cu3OF5
_chemical_formula_sum 'Cu6 O2 F10'
_space_group_name_H-M_alt 'P 1 21 1'
_space_group_IT_number 4
_cell_length_a 5.883
_cell_length_b 4.612
_cell_length_c 7.629
_cell_angle_alpha 90.00
_cell_angle_beta 91.14
_cell_angle_gamma 90.00
loop_
_space_group_symop_operation_xyz
'x,y,z'
'-x,y+1/2,-z'
loop_
_atom_site_label
_atom_site_fract_x
_atom_site_fract_y
_atom_site_fract_z
Cu1 0.057 0.000 0.175
Cu2 0.255 0.514 0.511
Cu3 0.405 0.051 0.834
O1 0.223 0.339 0.726
F1 0.074 0.229 0.396
F2 0.107 0.825 0.943
F3 0.272 0.719 0.285
F4 0.391 0.243 0.065
F5 0.428 0.824 0.612
```